Structure and calculated powder diffractogram of Ba2NbFeO6 (a DFT-relaxed cell (PBE+U, the Materials Project); Cu Kα X-rays).
Peak positions follow from Bragg's law for the DFT cell and can differ from measured ones.

a = 5.8527 Å, b = 5.8527 Å, c = 19.2389 Å
α = 90.00°, β = 90.00°, γ = 120.00°
Space group P6_3/mmc (No. 194)
Symmetry-distinct sites (fractional):
Ba 0.0000 0.0000 0.0000 x2
Ba 0.3333 0.6667 0.1418 x4
Ba 0.3333 0.6667 0.7500 x2
Nb 0.3333 0.6667 0.5637 x4
Fe 0.0000 0.0000 0.1824 x4
O 0.0000 0.5000 0.0000 x6
O 0.1538 0.3076 0.2500 x6
O 0.1703 0.3405 0.6204 x12

Top 10 peaks for 2θ from 10° to 90°, low angle first:
2theta, intensity, (hkl)
25.53, 13, 1 0 4
29.14, 79, 1 0 5
30.55, 100, 1 1 0
33.06, 18, 1 0 6
42.72, 44, 2 0 5
45.63, 14, 2 0 6
50.76, 13, 1 0 10
53.43, 28, 2 1 5
54.30, 20, 3 0 0
63.59, 20, 2 2 0